For Rb2PrAgI6, the GGA-PBE geometry in the Materials Project gives the computed powder diffractogram in this record (copper Kα).
Kinematic intensities with the Lorentz-polarization factor, no thermal factor.

Peak list (8 most intense, 2θ from 10° to 80°, by angle)
| 2theta | I (rel.) | hkl |
| --- | --- | --- |
| 14.37 | 42 | 2 0 0 |
| 25.02 | 63 | 2 2 2 |
| 28.97 | 100 | 4 0 0 |
| 41.43 | 75 | 4 4 0 |
| 49.01 | 29 | 6 2 2 |
| 51.35 | 26 | 4 4 4 |
| 68.02 | 34 | 8 4 0 |
| 75.57 | 25 | 8 4 4 |

Structure:
```
data_Rb2PrAgI6
_chemical_formula_sum 'Rb8 Pr4 Ag4 I24'
_cell_length_a 12.3280
_cell_length_b 12.3280
_cell_length_c 12.3280
_cell_angle_alpha 90.00
_cell_angle_beta 90.00
_cell_angle_gamma 90.00
_space_group_name_H-M_alt 'F m -3 m'
_space_group_IT_number 225
_space_group_name_Hall '-F 4 2 3'
loop_
_atom_site_label
_atom_site_type_symbol
_atom_site_fract_x
_atom_site_fract_y
_atom_site_fract_z
Rb1 Rb 0.2500 0.2500 0.2500
Pr1 Pr 0.0000 0.0000 0.0000
Ag1 Ag 0.0000 0.0000 0.5000
I1 I 0.0000 0.0000 0.2536
```

For RbAg4I5, the GGA-PBE geometry in the Materials Project gives the computed powder diffractogram in this record (copper Kα).
Kinematic intensities with the Lorentz-polarization factor, no thermal factor.

Peak list (8 most intense, 2θ from 10° to 80°, by angle)
| 2theta | I (rel.) | hkl |
| --- | --- | --- |
| 10.55 | 94 | 1 0 1 |
| 10.71 | 83 | 1 0 -1 |
| 22.68 | 52 | -2 1 2 |
| 22.92 | 42 | 1 2 -2 |
| 24.69 | 42 | 1 3 1 |
| 24.90 | 59 | 3 1 1 |
| 25.20 | 100 | 1 -1 3 |
| 38.98 | 47 | 1 0 -5 |

Structure:
```
data_RbAg4I5
_chemical_formula_sum 'Rb4 Ag16 I20'
_cell_length_a 11.7591
_cell_length_b 11.8027
_cell_length_c 11.8120
_cell_angle_alpha 88.12
_cell_angle_beta 89.21
_cell_angle_gamma 89.22
_space_group_name_H-M_alt 'P 1'
_space_group_IT_number 1
loop_
_space_group_symop_operation_xyz
'x,y,z'
loop_
_atom_site_label
_atom_site_type_symbol
_atom_site_fract_x
_atom_site_fract_y
_atom_site_fract_z
Rb1 Rb 0.0000 0.0000 0.0000
Rb2 Rb 0.2310 0.4914 0.2065
Rb3 Rb 0.4633 0.1911 0.6986
Rb4 Rb 0.7298 0.7860 0.4406
Ag1 Ag 0.0583 0.7065 0.5612
Ag2 Ag 0.1250 0.0737 0.5272
Ag3 Ag 0.1439 0.4569 0.5695
Ag4 Ag 0.1525 0.8028 0.7701
Ag5 Ag 0.2084 0.1085 0.2935
Ag6 Ag 0.3395 0.6583 0.8561
Ag7 Ag 0.5423 0.0154 0.2529
Ag8 Ag 0.5456 0.8214 0.0798
Ag9 Ag 0.5757 0.5482 0.1146
Ag10 Ag 0.5948 0.2551 0.0656
Ag11 Ag 0.5947 0.5966 0.8551
Ag12 Ag 0.8223 0.3623 0.1506
Ag13 Ag 0.8344 0.3756 0.9008
Ag14 Ag 0.8420 0.3441 0.3962
Ag15 Ag 0.8575 0.5904 0.7684
Ag16 Ag 0.8922 0.3810 0.6387
I1 I 0.0339 0.2613 0.1518
I2 I 0.0578 0.4296 0.8016
I3 I 0.0957 0.9046 0.3663
I4 I 0.1630 0.7282 0.0055
I5 I 0.1952 0.0385 0.7531
I6 I 0.2652 0.2840 0.4598
I7 I 0.2884 0.6516 0.6135
I8 I 0.3764 0.1162 0.1144
I9 I 0.4309 0.4357 0.9517
I10 I 0.4632 0.6886 0.2645
I11 I 0.5133 0.9915 0.4849
I12 I 0.5215 0.8249 0.8467
I13 I 0.6247 0.3396 0.2859
I14 I 0.6706 0.4990 0.6448
I15 I 0.7240 0.1745 0.8866
I16 I 0.7460 0.9236 0.1623
I17 I 0.8026 0.5824 0.0238
I18 I 0.8880 0.1656 0.5477
I19 I 0.9031 0.8149 0.7083
I20 I 0.9684 0.5509 0.3995
```